The following is a calculated powder diffraction line list of TiMnP2O8. It was derived from a structure optimized by DFT (GGA+U), using Cu Kα X-rays.
Kinematic intensities with the Lorentz-polarization factor, no thermal factor.

Unit cell a=5.006 b=6.040 c=10.118 alpha=90.00 beta=90.76 gamma=90.00
Fractional positions:
Ti 0.034 0.250 0.220
Ti 0.966 0.750 0.780
Mn 0.466 0.250 0.727
Mn 0.534 0.750 0.273
P 0.056 0.750 0.095
P 0.385 0.750 0.606
P 0.615 0.250 0.394
P 0.944 0.250 0.905
O 0.142 0.750 0.947
O 0.193 0.547 0.167
O 0.193 0.953 0.167
O 0.231 0.556 0.677
O 0.231 0.944 0.677
O 0.244 0.250 0.897
O 0.318 0.250 0.347
O 0.362 0.750 0.459
O 0.638 0.250 0.541
O 0.682 0.750 0.653
O 0.756 0.750 0.103
O 0.769 0.056 0.323
O 0.769 0.444 0.323
O 0.807 0.047 0.833
O 0.807 0.453 0.833
O 0.858 0.250 0.053

Top 10 peaks for 10 to 80 degrees two-theta, by angle:
2θ = 17.53°, I 94.8, (0 0 2); 2θ = 19.68°, I 58.8, (1 0 -1); 2θ = 19.89°, I 88.9, (1 0 1); 2θ = 22.93°, I 42.7, (0 1 2); 2θ = 24.63°, I 29.3, (1 1 -1); 2θ = 24.81°, I 77.6, (1 1 1); 2θ = 29.58°, I 100.0, (0 2 0); 2θ = 35.18°, I 60.6, (1 1 -3); 2θ = 35.55°, I 55.3, (1 1 3); 2θ = 47.16°, I 27.3, (2 2 0)